# 1
Theoretical X-ray diffraction stick pattern of PmDyCuPt for λ = 1.5418 Å (Cu Kα), from a structure optimized by DFT (GGA-PBE).
Intensities are scaled so that the largest is 100.

Principal peaks in the range 15 to 90 degrees two-theta, by angle:
2θ (°)  I (rel.)
31.91  100
33.45  26
34.31  28
39.25  24
40.00  66
40.51  30

Crystal structure
Unit cell a=4.454 b=3.835 c=10.714 alpha=90.00 beta=90.00 gamma=90.00
Element x y z (fractional)
Pm: 0.000 0.000 0.000
Pm: 0.000 0.500 0.500
Dy: 0.500 0.000 0.723
Dy: 0.500 0.500 0.223
Cu: 0.500 0.000 0.436
Cu: 0.500 0.500 0.936
Pt: 0.000 0.000 0.281
Pt: 0.000 0.500 0.781

***

# 2
Theoretical X-ray diffraction stick pattern of TbBiSO2 for λ = 1.5418 Å (Cu Kα), from a structure optimized by DFT (GGA-PBE).
Intensities are scaled so that the largest is 100.

Principal peaks in the range 15 to 90 degrees two-theta, by angle:
2θ (°)  I (rel.)
26.58  100
31.57  43
32.45  40
33.02  46
33.31  31
50.13  32

Crystal structure
Unit cell a=6.379 b=4.006 c=7.667 alpha=90.00 beta=105.94 gamma=90.00
Element x y z (fractional)
Tb: 0.195 0.250 0.429
Tb: 0.805 0.750 0.571
Bi: 0.197 0.250 0.912
Bi: 0.803 0.750 0.088
S: 0.442 0.750 0.706
S: 0.558 0.250 0.294
O: 0.007 0.750 0.880
O: 0.021 0.750 0.373
O: 0.979 0.250 0.627
O: 0.993 0.250 0.120

***

# 3
Theoretical X-ray diffraction stick pattern of ZrScCdHg for λ = 1.5418 Å (Cu Kα), from a structure optimized by DFT (GGA-PBE).
Intensities are scaled so that the largest is 100.

Principal peaks in the range 15 to 90 degrees two-theta, by angle:
2θ (°)  I (rel.)
22.22  14
35.10  100
39.70  35
42.77  14
59.77  21
69.09  27

Crystal structure
Unit cell a=4.540 b=4.540 c=8.457 alpha=90.00 beta=90.00 gamma=90.00
Element x y z (fractional)
Zr: 0.000 0.000 0.000
Zr: 0.500 0.500 0.500
Sc: 0.000 0.000 0.500
Sc: 0.500 0.500 0.000
Cd: 0.000 0.500 0.750
Cd: 0.500 0.000 0.250
Hg: 0.000 0.500 0.250
Hg: 0.500 0.000 0.750

***

# 4
Theoretical X-ray diffraction stick pattern of TbPmAsI for λ = 1.5418 Å (Cu Kα), from a structure optimized by DFT (GGA-PBE).
Intensities are scaled so that the largest is 100.

Principal peaks in the range 15 to 90 degrees two-theta, by angle:
2θ (°)  I (rel.)
29.18  36
31.50  100
43.22  49
47.02  20
54.46  21
71.94  18

Crystal structure
Unit cell a=4.186 b=4.186 c=22.840 alpha=90.00 beta=90.00 gamma=120.00
Element x y z (fractional)
Tb: 0.000 0.000 0.000
Tb: 0.333 0.667 0.667
Tb: 0.667 0.333 0.333
Pm: 0.000 0.000 0.800
Pm: 0.333 0.667 0.467
Pm: 0.667 0.333 0.134
As: 0.000 0.000 0.396
As: 0.333 0.667 0.062
As: 0.667 0.333 0.729
I: 0.000 0.000 0.569
I: 0.333 0.667 0.236
I: 0.667 0.333 0.903